Entry 1:
Structure and simulated XRD peak list of Th3Sn2N2 (a PBE-relaxed structure; λ = 1.5418 Å (Cu Kα)).
Intensities are scaled so that the largest is 1000.

Principal peaks in the range 2θ = 10–90°, by angle:
Position (°2θ), intensity
27.8, 410
28.5, 1000
30.3, 189
34.2, 551
35.8, 266
36.9, 181
44.2, 183
45.6, 173
53.1, 228
54.9, 147

```
Th3Sn2N2
1.0
6.4160 -2.0469 0.0000
6.4160 2.0469 0.0000
-3.4929 0.0000 6.6906
Th Sn N
3 2 2
direct
0.0000 0.0000 0.0000 Th
0.2064 0.2064 0.7720 Th
0.7936 0.7936 0.2280 Th
0.4516 0.4516 0.6396 Sn
0.5484 0.5484 0.3604 Sn
0.1993 0.1993 0.0795 N
0.8007 0.8007 0.9205 N
```



Entry 2:
Structure and simulated XRD peak list of Tm4Th2Sn3N2 (a PBE-relaxed structure; λ = 1.5418 Å (Cu Kα)).
Intensities are scaled so that the largest is 1000.

Principal peaks in the range 2θ = 10–90°, by angle:
Position (°2θ), intensity
21.8, 163
28.0, 509
28.2, 216
30.6, 107
31.3, 129
34.6, 1000
38.7, 518
48.6, 200
55.8, 180
67.4, 301

```
Tm4Th2Sn3N2
1.0
-2.3281 2.3281 12.6431
2.3281 -2.3281 12.6431
2.3281 2.3281 -12.6431
Tm Th Sn N
4 2 3 2
direct
0.0808 0.5808 0.5000 Tm
0.4192 0.9192 0.5000 Tm
0.5808 0.0808 0.5000 Tm
0.9192 0.4192 0.5000 Tm
0.1908 0.1908 0.0000 Th
0.8092 0.8092 0.0000 Th
0.3255 0.3255 0.0000 Sn
0.5000 0.5000 0.0000 Sn
0.6745 0.6745 0.0000 Sn
0.0986 0.0986 0.0000 N
0.9014 0.9014 0.0000 N
```



Entry 3:
Structure and simulated XRD peak list of Ti5Sn2N (a PBE-relaxed structure; λ = 1.5418 Å (Cu Kα)).
Intensities are scaled so that the largest is 1000.

Principal peaks in the range 2θ = 10–90°, by angle:
Position (°2θ), intensity
23.7, 1000
24.4, 330
35.6, 235
35.8, 262
38.1, 563
38.6, 429
41.7, 562
43.3, 294
45.4, 249
47.0, 286

```
Ti5Sn2N
1.0
1.9330 -7.7840 0.0000
1.9330 7.7840 0.0000
0.0000 0.0000 10.5986
Ti Sn N
10 4 2
direct
0.1337 0.8663 0.6268 Ti
0.1337 0.8663 0.8732 Ti
0.2572 0.7428 0.2500 Ti
0.3024 0.6976 0.5640 Ti
0.3024 0.6976 0.9360 Ti
0.6976 0.3024 0.0640 Ti
0.6976 0.3024 0.4360 Ti
0.7428 0.2572 0.7500 Ti
0.8663 0.1337 0.1268 Ti
0.8663 0.1337 0.3732 Ti
0.0594 0.9406 0.1179 Sn
0.0594 0.9406 0.3821 Sn
0.9406 0.0594 0.6179 Sn
0.9406 0.0594 0.8821 Sn
0.2417 0.7583 0.7500 N
0.7583 0.2417 0.2500 N
```



Entry 4:
Structure and simulated XRD peak list of TiSnN (a PBE-relaxed structure; λ = 1.5418 Å (Cu Kα)).
Intensities are scaled so that the largest is 1000.

Principal peaks in the range 2θ = 10–90°, by angle:
Position (°2θ), intensity
16.0, 390
26.2, 658
27.5, 722
31.0, 1000
32.9, 699
33.7, 606
39.4, 700
44.0, 394
46.5, 496
52.8, 297

```
TiSnN
1.0
0.0000 4.7740 5.3186
4.4285 0.0000 5.3186
4.4285 4.7740 0.0000
Ti Sn N
4 4 4
direct
0.0719 0.6781 0.6781 Ti
0.3219 0.9281 0.9281 Ti
0.6781 0.0719 0.0719 Ti
0.9281 0.3219 0.3219 Ti
0.2133 0.5367 0.2133 Sn
0.4633 0.7867 0.4633 Sn
0.5367 0.2133 0.5367 Sn
0.7867 0.4633 0.7867 Sn
0.0000 0.0000 0.0000 N
0.0000 0.0000 0.5000 N
0.0000 0.5000 0.0000 N
0.5000 0.0000 0.0000 N
```



Entry 5:
Structure and simulated XRD peak list of ZrSnN (a PBE-relaxed structure; λ = 1.5418 Å (Cu Kα)).
Intensities are scaled so that the largest is 1000.

Principal peaks in the range 2θ = 10–90°, by angle:
Position (°2θ), intensity
11.0, 240
22.2, 266
26.5, 241
32.9, 212
33.6, 362
36.1, 1000
41.2, 351
49.2, 289
58.0, 331
60.9, 258

```
ZrSnN
1.0
3.7055 0.0000 0.0000
0.0000 3.7055 0.0000
0.0000 0.0000 8.0097
Zr Sn N
2 2 2
direct
0.2500 0.2500 0.1394 Zr
0.7500 0.7500 0.8606 Zr
0.2500 0.7500 0.5000 Sn
0.7500 0.2500 0.5000 Sn
0.2500 0.2500 0.8902 N
0.7500 0.7500 0.1098 N
```



Entry 6:
Structure and simulated XRD peak list of Sr4N3 (a PBE-relaxed structure; λ = 1.5418 Å (Cu Kα)).
Intensities are scaled so that the largest is 1000.

Principal peaks in the range 2θ = 10–90°, by angle:
Position (°2θ), intensity
26.7, 244
28.9, 552
30.2, 869
30.5, 458
30.7, 1000
31.5, 377
39.4, 423
47.9, 358
52.7, 268
56.0, 308

```
Sr4N3
1.0
3.8761 0.0000 0.0000
-0.0058 6.5381 0.0000
-1.9303 -3.0283 6.1747
Sr N
4 3
direct
0.1333 0.4407 0.2652 Sr
0.3603 0.0032 0.7212 Sr
0.6397 0.9968 0.2788 Sr
0.8667 0.5593 0.7348 Sr
0.0000 0.0000 0.0000 N
0.2800 0.2928 0.5621 N
0.7200 0.7072 0.4379 N
```



Entry 7:
Structure and simulated XRD peak list of Sr5TaN6 (a PBE-relaxed structure; λ = 1.5418 Å (Cu Kα)).
Intensities are scaled so that the largest is 1000.

Principal peaks in the range 2θ = 10–90°, by angle:
Position (°2θ), intensity
30.0, 945
30.3, 302
34.9, 1000
50.0, 332
50.3, 331
59.4, 151
59.5, 299
59.8, 149
62.4, 166
81.3, 135

```
Sr5TaN6
1.0
3.1589 -5.4776 0.0000
3.1589 5.4776 0.0000
-2.0981 0.0000 5.9089
Sr Ta N
5 1 6
direct
0.0000 0.0000 0.0000 Sr
0.1667 0.8333 0.5000 Sr
0.3383 0.6617 0.0000 Sr
0.6617 0.3383 0.0000 Sr
0.8333 0.1667 0.5000 Sr
0.5000 0.5000 0.5000 Ta
0.1493 0.4277 0.2826 N
0.2926 0.2926 0.7102 N
0.4277 0.1493 0.2826 N
0.5723 0.8507 0.7174 N
0.7074 0.7074 0.2898 N
0.8507 0.5723 0.7174 N
```



Entry 8:
Structure and simulated XRD peak list of Sr2TcN2 (a PBE-relaxed structure; λ = 1.5418 Å (Cu Kα)).
Intensities are scaled so that the largest is 1000.

Principal peaks in the range 2θ = 10–90°, by angle:
Position (°2θ), intensity
27.1, 130
28.6, 146
30.1, 319
31.8, 200
32.0, 139
32.9, 1000
33.1, 436
36.5, 110
56.7, 132
57.1, 144

```
Sr2TcN2
1.0
6.5718 0.0000 0.0000
0.0000 5.4426 0.0000
0.0000 0.0000 10.6189
Sr Tc N
8 4 8
direct
0.0482 0.2500 0.2103 Sr
0.1875 0.2500 0.5520 Sr
0.3125 0.7500 0.0520 Sr
0.4518 0.7500 0.7103 Sr
0.5482 0.2500 0.2897 Sr
0.6875 0.2500 0.9480 Sr
0.8125 0.7500 0.4480 Sr
0.9518 0.7500 0.7897 Sr
0.2246 0.2500 0.8519 Tc
0.2754 0.7500 0.3519 Tc
0.7246 0.2500 0.6481 Tc
0.7754 0.7500 0.1481 Tc
0.0361 0.7500 0.2423 N
0.2039 0.7500 0.5203 N
0.2961 0.2500 0.0203 N
0.4639 0.2500 0.7423 N
0.5361 0.7500 0.2577 N
0.7039 0.7500 0.9797 N
0.7961 0.2500 0.4797 N
0.9639 0.2500 0.7577 N
```



Entry 9:
Structure and simulated XRD peak list of Sr2ThTc2N6 (a PBE-relaxed structure; λ = 1.5418 Å (Cu Kα)).
Intensities are scaled so that the largest is 1000.

Principal peaks in the range 2θ = 10–90°, by angle:
Position (°2θ), intensity
19.6, 115
29.7, 1000
42.5, 208
52.6, 308
52.8, 105
61.5, 82
69.8, 89
70.0, 89
85.2, 105
85.4, 53

```
Sr2ThTc2N6
1.0
3.0138 1.7400 6.1252
-3.0138 1.7400 6.1252
0.0000 -3.4800 6.1252
Sr Th Tc N
2 1 2 6
direct
0.2084 0.2084 0.2084 Sr
0.7916 0.7916 0.7916 Sr
0.0000 0.0000 0.0000 Th
0.4027 0.4027 0.4027 Tc
0.5973 0.5973 0.5973 Tc
0.2420 0.7437 0.7437 N
0.2563 0.2563 0.7580 N
0.2563 0.7580 0.2563 N
0.7437 0.2420 0.7437 N
0.7437 0.7437 0.2420 N
0.7580 0.2563 0.2563 N
```



Entry 10:
Structure and simulated XRD peak list of Sr2UTcN5 (a PBE-relaxed structure; λ = 1.5418 Å (Cu Kα)).
Intensities are scaled so that the largest is 1000.

Principal peaks in the range 2θ = 10–90°, by angle:
Position (°2θ), intensity
15.8, 622
20.4, 282
27.1, 919
27.3, 385
30.4, 427
32.0, 635
33.0, 473
35.5, 1000
40.0, 428
53.3, 340

```
Sr2UTcN5
1.0
1.7636 -6.9034 0.0000
1.7636 6.9034 0.0000
0.0000 0.0000 11.2458
Sr U Tc N
4 2 2 10
direct
0.1044 0.8956 0.5000 Sr
0.1462 0.8538 0.1338 Sr
0.8538 0.1462 0.6338 Sr
0.8956 0.1044 0.0000 Sr
0.2075 0.7925 0.8410 U
0.7925 0.2075 0.3410 U
0.4800 0.5200 0.2741 Tc
0.5200 0.4800 0.7741 Tc
0.0396 0.9604 0.8498 N
0.2864 0.7136 0.4600 N
0.3175 0.6825 0.2278 N
0.3636 0.6364 0.8211 N
0.4941 0.5059 0.6212 N
0.5059 0.4941 0.1212 N
0.6364 0.3636 0.3211 N
0.6825 0.3175 0.7278 N
0.7136 0.2864 0.9600 N
0.9604 0.0396 0.3498 N
```



Entry 11:
Structure and simulated XRD peak list of Sr3TeN (a PBE-relaxed structure; λ = 1.5418 Å (Cu Kα)).
Intensities are scaled so that the largest is 1000.

Principal peaks in the range 2θ = 10–90°, by angle:
Position (°2θ), intensity
28.0, 201
28.8, 1000
29.5, 455
30.2, 371
30.7, 191
31.5, 266
33.7, 329
36.7, 228
42.8, 200
43.5, 228

```
Sr3TeN
1.0
9.8085 0.0000 0.0000
0.0000 4.1608 0.0000
0.0000 0.0000 14.8147
Sr Te N
12 4 4
direct
0.0153 0.2500 0.0953 Sr
0.1909 0.2500 0.5089 Sr
0.2403 0.7500 0.2922 Sr
0.2597 0.2500 0.7922 Sr
0.3091 0.7500 0.0089 Sr
0.4847 0.7500 0.5953 Sr
0.5153 0.2500 0.4047 Sr
0.6909 0.2500 0.9911 Sr
0.7403 0.7500 0.2078 Sr
0.7597 0.2500 0.7078 Sr
0.8091 0.7500 0.4911 Sr
0.9847 0.7500 0.9047 Sr
0.0343 0.7500 0.6704 Te
0.4657 0.2500 0.1704 Te
0.5343 0.7500 0.8296 Te
0.9657 0.2500 0.3296 Te
0.1608 0.2500 0.9479 N
0.3392 0.7500 0.4479 N
0.6608 0.2500 0.5521 N
0.8392 0.7500 0.0521 N
```



Entry 12:
Structure and simulated XRD peak list of Sr2TeN (a PBE-relaxed structure; λ = 1.5418 Å (Cu Kα)).
Intensities are scaled so that the largest is 1000.

Principal peaks in the range 2θ = 10–90°, by angle:
Position (°2θ), intensity
27.4, 1000
28.2, 898
33.0, 368
35.1, 182
36.8, 296
43.4, 326
50.9, 300
54.9, 227
60.4, 106
61.5, 165

```
Sr2TeN
1.0
-3.8360 3.8360 4.0625
3.8360 -3.8360 4.0625
3.8360 3.8360 -4.0625
Sr Te N
4 2 2
direct
0.0416 0.1250 0.4166 Sr
0.3750 0.9584 0.0834 Sr
0.7084 0.6250 0.5834 Sr
0.8750 0.2916 0.9166 Sr
0.2500 0.7500 0.5000 Te
0.5000 0.5000 0.0000 Te
0.0000 0.0000 0.0000 N
0.7500 0.2500 0.5000 N
```